Structure and simulated powder diffractogram of Sm3Sn4Pt3 (a DFT-relaxed cell (GGA-PBE, Alexandria); Cu Ka).
Neutral-atom scattering factors, no anomalous dispersion.

Principal peaks in the range 2θ from 10° to 90°, most intense first:
2θ 33.79, 2.653 Å, intensity 100; 2θ 40.65, 2.219 Å, intensity 50; 2θ 21.94, 4.052 Å, intensity 29; 2θ 69.61, 1.351 Å, intensity 16; 2θ 46.66, 1.946 Å, intensity 15; 2θ 44.73, 2.026 Å, intensity 15; 2θ 58.85, 1.569 Å, intensity 13; 2θ 42.73, 2.116 Å, intensity 13

Crystal structure
Cell: 9.9252 9.9252 9.9252 Å, 90.00 90.00 90.00°
Space group I-43d (No. 220)
Asymmetric unit:
Sm (0.0000, 0.2500, 0.8750)
Sn (0.0807, 0.4193, 0.5807)
Pt (0.0000, 0.2500, 0.3750)